PaAlRu: computed PXRD pattern (λ = 1.5418 Å (Cu Kα)), based on DFT lattice parameters and positions (GGA-PBE).
Kinematic intensities with the Lorentz-polarization factor, no thermal factor.

Main lines, sorted by position (5° ≤ 2θ ≤ 70°):
h k l  d [Å]  I/Imax
1 0 -2  4.526  26
0 1 1  3.904  40
2 0 1  3.316  28
1 1 -2  3.049  19
1 0 4  2.740  24
2 1 0  2.649  88
2 1 1  2.587  34
0 1 4  2.422  100
0 2 0  2.065  36
0 0 6  1.991  17

Structure:
Unit cell a=6.909 b=4.131 c=11.950 alpha=90.00 beta=90.19 gamma=90.00
Space group P2_1/m (No. 11)
Inequivalent atoms, fractional coordinates:
1 Pa 0.037 0.250 0.373 [2 per cell]
2 Pa 0.161 0.250 0.083 [2 per cell]
3 Pa 0.457 0.750 0.713 [2 per cell]
4 Al 0.130 0.250 0.802 [2 per cell]
5 Al 0.368 0.750 0.460 [2 per cell]
6 Al 0.497 0.250 0.916 [2 per cell]
7 Ru 0.246 0.250 0.581 [2 per cell]
8 Ru 0.251 0.750 0.250 [2 per cell]
9 Ru 0.253 0.750 0.914 [2 per cell]


Zr6Ge2C: computed PXRD pattern (λ = 1.5418 Å (Cu Kα)), based on DFT lattice parameters and positions (GGA-PBE).
Kinematic intensities with the Lorentz-polarization factor, no thermal factor.

Main lines, sorted by position (5° ≤ 2θ ≤ 70°):
h k l  d [Å]  I/Imax
1 1 0  4.182  30
2 0 0  2.957  21
1 1 3  2.815  100
2 1 0  2.645  33
2 0 2  2.626  12
2 1 3  2.172  33
2 2 0  2.091  26
0 0 6  1.904  12
3 0 3  1.751  33
3 1 3  1.679  16

Structure:
Unit cell a=5.914 b=5.914 c=11.422 alpha=90.00 beta=90.00 gamma=90.00
Space group P4_2/mnm (No. 136)
Inequivalent atoms, fractional coordinates:
1 Zr 0.190 0.190 0.144 [8 per cell]
2 Zr 0.223 0.223 0.500 [4 per cell]
3 Ge 0.000 0.000 0.331 [4 per cell]
4 C 0.000 0.000 0.000 [2 per cell]


TbPm2YSc4: computed PXRD pattern (λ = 1.5418 Å (Cu Kα)), based on DFT lattice parameters and positions (GGA-PBE).
Kinematic intensities with the Lorentz-polarization factor, no thermal factor.

Main lines, sorted by position (5° ≤ 2θ ≤ 70°):
h k l  d [Å]  I/Imax
0 0 2  4.860  21
1 1 0  3.690  22
1 1 2  2.939  100
2 0 0  2.609  36
0 0 4  2.430  15
2 0 2  2.299  13
2 2 0  1.845  13
2 0 4  1.778  22
3 1 2  1.563  29
1 1 6  1.483  12

Structure:
Unit cell a=5.219 b=5.219 c=9.721 alpha=90.00 beta=90.00 gamma=90.00
Space group P4/mmm (No. 123)
Inequivalent atoms, fractional coordinates:
1 Tb 0.000 0.000 0.000 [1 per cell]
2 Pm 0.000 0.000 0.500 [1 per cell]
3 Pm 0.500 0.500 0.000 [1 per cell]
4 Y 0.500 0.500 0.500 [1 per cell]
5 Sc 0.000 0.500 0.249 [4 per cell]


In2HgPb: computed PXRD pattern (λ = 1.5418 Å (Cu Kα)), based on DFT lattice parameters and positions (GGA-PBE).
Kinematic intensities with the Lorentz-polarization factor, no thermal factor.

Main lines, sorted by position (5° ≤ 2θ ≤ 70°):
h k l  d [Å]  I/Imax
0 0 1  10.715  17
0 2 0  2.737  26
1 1 2  2.709  100
0 0 4  2.679  24
2 0 0  1.915  27
1 3 2  1.575  19
2 2 0  1.570  10
2 0 4  1.559  9
1 1 6  1.552  18
2 2 4  1.354  12

Structure:
Unit cell a=3.833 b=5.474 c=10.715 alpha=90.00 beta=90.00 gamma=90.00
Space group Cmm2 (No. 35)
Inequivalent atoms, fractional coordinates:
1 In 0.000 0.000 0.000 [2 per cell]
2 In 0.000 0.500 0.247 [2 per cell]
3 Hg 0.000 0.000 0.483 [2 per cell]
4 Pb 0.000 0.500 0.738 [2 per cell]


Ba3Mg9Zn2: computed PXRD pattern (λ = 1.5418 Å (Cu Kα)), based on DFT lattice parameters and positions (GGA-PBE).
Kinematic intensities with the Lorentz-polarization factor, no thermal factor.

Main lines, sorted by position (5° ≤ 2θ ≤ 70°):
h k l  d [Å]  I/Imax
1 1 0  4.623  34
0 1 3  4.458  25
1 0 3  3.499  17
1 3 0  3.035  26
1 2 3  2.983  100
0 4 0  2.846  15
2 0 0  2.530  22
1 0 5  2.520  12
2 3 3  1.930  16
1 6 3  1.668  16

Structure:
Unit cell a=5.060 b=11.382 c=14.534 alpha=90.00 beta=90.00 gamma=90.00
Space group Immm (No. 71)
Inequivalent atoms, fractional coordinates:
1 Ba 0.000 0.000 0.000 [2 per cell]
2 Ba 0.000 0.000 0.313 [4 per cell]
3 Mg 0.000 0.282 0.110 [8 per cell]
4 Mg 0.000 0.346 0.326 [8 per cell]
5 Mg 0.000 0.500 0.000 [2 per cell]
6 Zn 0.000 0.222 0.500 [4 per cell]


MgMoW2: computed PXRD pattern (λ = 1.5418 Å (Cu Kα)), based on DFT lattice parameters and positions (GGA-PBE).
Kinematic intensities with the Lorentz-polarization factor, no thermal factor.

Main lines, sorted by position (5° ≤ 2θ ≤ 70°):
h k l  d [Å]  I/Imax
0 2 0  4.594  72
2 0 0  2.614  18
0 0 1  2.557  17
0 4 0  2.297  52
2 2 0  2.272  100
2 0 -1  2.242  48
0 2 1  2.234  95
2 2 -1  2.015  19
2 4 -1  1.604  34
2 0 1  1.582  16

Structure:
Unit cell a=5.549 b=9.188 c=2.714 alpha=90.00 beta=109.60 gamma=90.00
Space group C2/m (No. 12)
Inequivalent atoms, fractional coordinates:
1 Mg 0.000 0.000 0.000 [2 per cell]
2 Mo 0.000 0.500 0.000 [2 per cell]
3 W 0.250 0.250 0.500 [4 per cell]


CsK7Rb4: computed PXRD pattern (λ = 1.5418 Å (Cu Kα)), based on DFT lattice parameters and positions (GGA-PBE).
Kinematic intensities with the Lorentz-polarization factor, no thermal factor.

Main lines, sorted by position (5° ≤ 2θ ≤ 70°):
h k l  d [Å]  I/Imax
3 1 1  3.967  100
0 0 4  3.553  19
0 2 0  3.506  18
6 0 -2  3.269  16
0 2 4  2.495  15
6 0 2  2.406  12
6 2 -2  2.391  13
3 3 1  2.102  17
9 1 -1  1.997  13
6 2 2  1.984  13

Structure:
Unit cell a=19.614 b=7.012 c=15.654 alpha=90.00 beta=114.77 gamma=90.00
Space group Cm (No. 8)
Inequivalent atoms, fractional coordinates:
1 Cs 0.000 0.000 0.000 [2 per cell]
2 K 0.006 0.500 0.503 [2 per cell]
3 K 0.168 0.000 0.497 [2 per cell]
4 K 0.250 0.500 0.740 [2 per cell]
5 K 0.264 0.000 0.258 [2 per cell]
6 K 0.334 0.000 0.003 [2 per cell]
7 K 0.412 0.000 0.745 [2 per cell]
8 K 0.421 0.500 0.262 [2 per cell]
9 Rb 0.087 0.500 0.258 [2 per cell]
10 Rb 0.091 0.000 0.745 [2 per cell]
11 Rb 0.180 0.500 0.002 [2 per cell]
12 Rb 0.338 0.500 0.504 [2 per cell]


PH2PbS4: computed PXRD pattern (λ = 1.5418 Å (Cu Kα)), based on DFT lattice parameters and positions (GGA-PBE).
Kinematic intensities with the Lorentz-polarization factor, no thermal factor.

Main lines, sorted by position (5° ≤ 2θ ≤ 70°):
h k l  d [Å]  I/Imax
0 2 0  6.222  36
1 1 0  5.869  100
1 3 0  3.521  28
1 1 -2  3.411  23
2 0 -2  3.324  25
0 4 0  3.111  31
0 0 2  2.968  34
2 2 0  2.933  28
3 1 -2  2.554  31
2 4 -2  2.272  25

Structure:
Unit cell a=8.029 b=12.445 c=7.159 alpha=90.00 beta=124.00 gamma=90.00
Space group C2/c (No. 15)
Inequivalent atoms, fractional coordinates:
1 P 0.250 0.250 0.000 [4 per cell]
2 H 0.000 0.000 0.000 [4 per cell]
3 H 0.250 0.250 0.500 [4 per cell]
4 Pb 0.000 0.500 0.000 [4 per cell]
5 S 0.087 0.263 0.574 [8 per cell]
6 S 0.188 0.059 0.020 [8 per cell]


Tb4Pr2SmSc: computed PXRD pattern (λ = 1.5418 Å (Cu Kα)), based on DFT lattice parameters and positions (GGA-PBE).
Kinematic intensities with the Lorentz-polarization factor, no thermal factor.

Main lines, sorted by position (5° ≤ 2θ ≤ 70°):
h k l  d [Å]  I/Imax
0 0 1  10.097  2
0 0 2  5.051  3
1 0 1  4.518  2
1 1 0  3.572  3
0 0 3  3.367  3
1 1 2  2.916  100
2 0 0  2.526  50
2 2 0  1.786  36
3 1 2  1.523  42
2 2 4  1.458  12

Structure:
Unit cell a=5.052 b=5.052 c=10.097 alpha=90.00 beta=90.00 gamma=90.00
Space group P4/mmm (No. 123)
Inequivalent atoms, fractional coordinates:
1 Tb 0.000 0.500 0.244 [4 per cell]
2 Pr 0.000 0.000 0.000 [1 per cell]
3 Pr 0.500 0.500 0.500 [1 per cell]
4 Sm 0.000 0.000 0.500 [1 per cell]
5 Sc 0.500 0.500 0.000 [1 per cell]


NpScSe3: computed PXRD pattern (λ = 1.5418 Å (Cu Kα)), based on DFT lattice parameters and positions (GGA-PBE).
Kinematic intensities with the Lorentz-polarization factor, no thermal factor.

Main lines, sorted by position (5° ≤ 2θ ≤ 70°):
h k l  d [Å]  I/Imax
0 0 2  7.628  62
0 1 1  3.876  30
2 0 1  3.668  38
1 1 3  2.906  38
1 0 5  2.829  38
2 1 0  2.750  28
1 1 4  2.595  35
2 1 2  2.587  100
1 1 5  2.311  51
0 2 0  2.004  30

Structure:
Unit cell a=7.558 b=4.008 c=15.256 alpha=90.00 beta=90.00 gamma=90.00
Space group Pnma (No. 62)
Inequivalent atoms, fractional coordinates:
1 Np 0.142 0.250 0.202 [4 per cell]
2 Sc 0.230 0.750 0.458 [4 per cell]
3 Se 0.012 0.250 0.396 [4 per cell]
4 Se 0.126 0.750 0.059 [4 per cell]
5 Se 0.147 0.250 0.785 [4 per cell]


Ba2RuPtO6: computed PXRD pattern (λ = 1.5418 Å (Cu Kα)), based on DFT lattice parameters and positions (GGA-PBE).
Kinematic intensities with the Lorentz-polarization factor, no thermal factor.

Main lines, sorted by position (5° ≤ 2θ ≤ 70°):
h k l  d [Å]  I/Imax
1 0 1  4.998  15
1 0 7  3.255  49
1 1 0  2.928  100
1 0 10  2.563  31
0 2 7  2.177  27
0 2 10  1.929  20
2 1 7  1.747  16
3 0 0  1.690  20
2 1 10  1.611  17
2 2 0  1.464  18

Structure:
Unit cell a=5.8552 b=5.8552 c=29.7110 alpha=90.00 beta=90.00 gamma=120.00
Space group R-3m (No. 166, hexagonal axes)
Inequivalent atoms, fractional coordinates:
1 Ba 0.0000 0.0000 0.1229 [6 per cell]
2 Ba 0.0000 0.0000 0.2884 [6 per cell]
3 Ru 0.0000 0.0000 0.0000 [3 per cell]
4 Ru 0.0000 0.0000 0.5000 [3 per cell]
5 Pt 0.0000 0.0000 0.4096 [6 per cell]
6 O 0.0134 0.5067 0.7066 [18 per cell]
7 O 0.0258 0.5129 0.1225 [18 per cell]


Li4PrGe4: computed PXRD pattern (λ = 1.5418 Å (Cu Kα)), based on DFT lattice parameters and positions (GGA-PBE).
Kinematic intensities with the Lorentz-polarization factor, no thermal factor.

Main lines, sorted by position (5° ≤ 2θ ≤ 70°):
h k l  d [Å]  I/Imax
1 0 1  5.041  42
1 0 2  3.567  16
1 1 2  3.087  74
2 0 1  2.909  64
1 0 3  2.633  100
2 0 3  2.118  16
2 2 2  1.952  56
3 1 1  1.904  15
3 0 3  1.680  25
2 1 5  1.477  28

Structure:
Unit cell a=6.169 b=6.169 c=8.744 alpha=90.00 beta=90.00 gamma=90.00
Space group P4_2/nmc (No. 137, origin choice 2)
Inequivalent atoms, fractional coordinates:
1 Li 0.007 0.250 0.155 [8 per cell]
2 Pr 0.250 0.750 0.250 [2 per cell]
3 Ge 0.049 0.250 0.454 [8 per cell]